No. 1
LaYCu2Ge2: theoretical powder diffractogram (λ = 1.5418 Å (Cu Kα)), based on a crystal structure in Alexandria, relaxed with GGA-PBE.

Main lines, sorted by position (10 to 90 degrees two-theta):
- (1 0 0), 2θ 23.93, I 6
- (0 1 1), 2θ 26.58, I 5
- (0 1 2), 2θ 33.35, I 100
- (1 1 0), 2θ 42.09, I 51
- (0 0 4), 2θ 46.75, I 11
- (2 0 2), 2θ 54.73, I 24
- (1 1 4), 2θ 64.71, I 24
- (1 2 2), 2θ 71.37, I 21
- (3 0 0), 2θ 76.93, I 8
- (0 1 6), 2θ 78.14, I 7

Unit cell a=4.2934 b=4.2934 c=7.7719 alpha=90.00 beta=90.00 gamma=120.00
Space group P-3m1 (No. 164)
Inequivalent atoms, fractional coordinates:
La (0.0000, 0.0000, 0.0000) (multiplicity 1)
Y (0.0000, 0.0000, 0.5000) (multiplicity 1)
Cu (0.3333, 0.6667, 0.7244) (multiplicity 2)
Ge (0.3333, 0.6667, 0.2630) (multiplicity 2)

No. 2
LiCu6Ge6: theoretical powder diffractogram (λ = 1.5418 Å (Cu Kα)), based on a crystal structure in Alexandria, relaxed with GGA-PBE.

Main lines, sorted by position (10 to 90 degrees two-theta):
- (1 0 1), 2θ 19.70, I 21
- (1 0 3), 2θ 34.61, I 29
- (2 0 2), 2θ 40.02, I 34
- (2 2 0), 2θ 40.74, I 28
- (1 2 3), 2θ 40.91, I 54
- (0 4 0), 2θ 43.06, I 29
- (2 2 2), 2θ 45.70, I 100
- (0 2 4), 2θ 45.91, I 47
- (0 4 2), 2θ 47.79, I 53
- (2 0 6), 2θ 73.01, I 22

Unit cell a=5.213 b=8.402 c=8.961 alpha=90.00 beta=90.00 gamma=90.00
Space group Immm (No. 71)
Inequivalent atoms, fractional coordinates:
Li (0.000, 0.000, 0.000) (multiplicity 2)
Cu (0.000, 0.241, 0.500) (multiplicity 4)
Cu (0.250, 0.250, 0.250) (multiplicity 8)
Ge (0.000, 0.000, 0.324) (multiplicity 4)
Ge (0.000, 0.345, 0.000) (multiplicity 4)
Ge (0.000, 0.500, 0.341) (multiplicity 4)

No. 3
Li2Cu3Ge4: theoretical powder diffractogram (λ = 1.5418 Å (Cu Kα)), based on a crystal structure in Alexandria, relaxed with GGA-PBE.

Main lines, sorted by position (10 to 90 degrees two-theta):
- (0 2 1), 2θ 16.95, I 43
- (1 1 1), 2θ 21.30, I 63
- (0 4 0), 2θ 25.56, I 32
- (0 4 1), 2θ 27.99, I 22
- (1 5 1), 2θ 38.29, I 43
- (2 0 2), 2θ 41.30, I 100
- (0 6 2), 2θ 45.26, I 38
- (0 0 4), 2θ 45.84, I 35
- (2 4 2), 2θ 49.20, I 21
- (2 6 0), 2θ 52.64, I 24

Unit cell a=5.244 b=13.940 c=7.917 alpha=90.00 beta=90.00 gamma=90.00
Space group Cmce (No. 64)
Inequivalent atoms, fractional coordinates:
Li (0.000, 0.107, 0.075) (multiplicity 8)
Cu (0.000, 0.000, 0.500) (multiplicity 4)
Cu (0.250, 0.236, 0.750) (multiplicity 8)
Ge (0.000, 0.186, 0.488) (multiplicity 8)
Ge (0.250, 0.054, 0.750) (multiplicity 8)

No. 4
Li3Cu5Ge2: theoretical powder diffractogram (λ = 1.5418 Å (Cu Kα)), based on a crystal structure in Alexandria, relaxed with GGA-PBE.

Main lines, sorted by position (10 to 90 degrees two-theta):
- (2 0 0), 2θ 18.08, I 100
- (1 3 0), 2θ 23.11, I 32
- (2 1 1), 2θ 27.00, I 86
- (3 2 1), 2θ 36.23, I 34
- (4 2 0), 2θ 39.45, I 38
- (0 2 2), 2θ 40.41, I 63
- (4 1 1), 2θ 42.03, I 30
- (0 6 0), 2θ 43.26, I 52
- (2 5 1), 2θ 44.78, I 29
- (0 4 2), 2θ 47.86, I 48

Unit cell a=9.814 b=12.549 c=4.777 alpha=90.00 beta=90.00 gamma=90.00
Space group Ibam (No. 72)
Inequivalent atoms, fractional coordinates:
Li (0.000, 0.000, 0.250) (multiplicity 4)
Li (0.077, 0.309, 0.000) (multiplicity 8)
Cu (0.000, 0.500, 0.250) (multiplicity 4)
Cu (0.214, 0.331, 0.500) (multiplicity 8)
Cu (0.245, 0.500, 0.250) (multiplicity 8)
Ge (0.145, 0.153, 0.500) (multiplicity 8)

No. 5
Li3Pm2CuGe4: theoretical powder diffractogram (λ = 1.5418 Å (Cu Kα)), based on a crystal structure in Alexandria, relaxed with GGA-PBE.

Main lines, sorted by position (10 to 90 degrees two-theta):
- (1 0 1), 2θ 22.75, I 39
- (1 1 1), 2θ 31.13, I 16
- (1 0 3), 2θ 34.03, I 65
- (1 1 2), 2θ 34.82, I 100
- (2 0 0), 2θ 42.66, I 48
- (1 0 5), 2θ 50.07, I 23
- (2 1 3), 2θ 55.66, I 32
- (1 1 6), 2θ 63.44, I 16
- (2 1 5), 2θ 67.84, I 18
- (3 1 2), 2θ 73.04, I 22

Unit cell a=4.239 b=4.239 c=10.087 alpha=90.00 beta=90.00 gamma=90.00
Space group P-4m2 (No. 115)
Inequivalent atoms, fractional coordinates:
Li (0.000, 0.000, 0.000) (multiplicity 1)
Li (0.000, 0.500, 0.634) (multiplicity 2)
Pm (0.000, 0.500, 0.247) (multiplicity 2)
Cu (0.500, 0.500, 0.000) (multiplicity 1)
Ge (0.000, 0.000, 0.500) (multiplicity 1)
Ge (0.000, 0.500, 0.874) (multiplicity 2)
Ge (0.500, 0.500, 0.500) (multiplicity 1)

No. 6
LiCuGeRu: theoretical powder diffractogram (λ = 1.5418 Å (Cu Kα)), based on a crystal structure in Alexandria, relaxed with GGA-PBE.

Main lines, sorted by position (10 to 90 degrees two-theta):
- (1 0 1), 2θ 26.22, I 36
- (0 0 2), 2θ 28.84, I 10
- (1 1 0), 2θ 31.10, I 16
- (1 1 2), 2θ 42.93, I 100
- (2 0 0), 2θ 44.56, I 45
- (2 1 1), 2θ 52.43, I 11
- (0 0 4), 2θ 59.75, I 9
- (2 2 0), 2θ 64.84, I 14
- (2 0 4), 2θ 77.50, I 16
- (3 1 2), 2θ 80.95, I 29

Unit cell a=4.067 b=4.067 c=6.191 alpha=90.00 beta=90.00 gamma=90.00
Space group I-4m2 (No. 119)
Inequivalent atoms, fractional coordinates:
Li (0.000, 0.000, 0.000) (multiplicity 2)
Cu (0.000, 0.500, 0.750) (multiplicity 2)
Ge (0.000, 0.000, 0.500) (multiplicity 2)
Ru (0.000, 0.500, 0.250) (multiplicity 2)

No. 7
SrLiCuGe2: theoretical powder diffractogram (λ = 1.5418 Å (Cu Kα)), based on a crystal structure in Alexandria, relaxed with GGA-PBE.

Main lines, sorted by position (10 to 90 degrees two-theta):
- (1 0 1), 2θ 22.18, I 33
- (1 1 0), 2θ 29.12, I 49
- (1 0 3), 2θ 32.92, I 100
- (1 1 2), 2θ 33.87, I 72
- (2 0 0), 2θ 41.65, I 66
- (1 1 4), 2θ 45.53, I 19
- (1 0 5), 2θ 48.21, I 42
- (2 1 3), 2θ 54.08, I 47
- (2 2 0), 2θ 60.37, I 21
- (2 1 5), 2θ 65.57, I 33

Unit cell a=4.337 b=4.337 c=10.483 alpha=90.00 beta=90.00 gamma=90.00
Space group I-4m2 (No. 119)
Inequivalent atoms, fractional coordinates:
Sr (0.000, 0.000, 0.000) (multiplicity 2)
Li (0.000, 0.500, 0.250) (multiplicity 2)
Cu (0.000, 0.500, 0.750) (multiplicity 2)
Ge (0.000, 0.000, 0.380) (multiplicity 4)

No. 8
Sr2Li3Cu12Ge: theoretical powder diffractogram (λ = 1.5418 Å (Cu Kα)), based on a crystal structure in Alexandria, relaxed with GGA-PBE.

Main lines, sorted by position (10 to 90 degrees two-theta):
- (0 1 2), 2θ 17.86, I 37
- (1 1 3), 2θ 30.67, I 58
- (1 1 6), 2θ 35.14, I 55
- (0 2 4), 2θ 36.18, I 100
- (1 0 10), 2θ 36.74, I 30
- (0 1 11), 2θ 39.79, I 44
- (2 0 8), 2θ 42.95, I 29
- (1 2 2), 2θ 45.56, I 40
- (3 0 6), 2θ 55.49, I 61
- (2 2 0), 2θ 60.24, I 41

Unit cell a=6.1475 b=6.1475 c=27.5388 alpha=90.00 beta=90.00 gamma=120.00
Space group R-3m (No. 166, hexagonal axes)
Inequivalent atoms, fractional coordinates:
Sr (0.0000, 0.0000, 0.1493) (multiplicity 6)
Li (0.0000, 0.5000, 0.0000) (multiplicity 9)
Cu (0.0569, 0.5285, 0.0927) (multiplicity 18)
Cu (0.0721, 0.5361, 0.6186) (multiplicity 18)
Ge (0.0000, 0.0000, 0.5000) (multiplicity 3)

No. 9
MgCu3Ge3: theoretical powder diffractogram (λ = 1.5418 Å (Cu Kα)), based on a crystal structure in Alexandria, relaxed with GGA-PBE.

Main lines, sorted by position (10 to 90 degrees two-theta):
- (1 1 0), 2θ 18.76, I 97
- (2 0 0), 2θ 26.65, I 43
- (2 1 1), 2θ 32.79, I 100
- (2 2 0), 2θ 38.05, I 16
- (3 1 0), 2θ 42.74, I 23
- (2 2 2), 2θ 47.06, I 68
- (3 2 1), 2θ 51.09, I 55
- (4 0 0), 2θ 54.90, I 40
- (4 2 0), 2θ 62.04, I 15
- (4 4 0), 2θ 81.37, I 24

Unit cell a=6.690 b=6.690 c=6.690 alpha=90.00 beta=90.00 gamma=90.00
Space group Pm-3n (No. 223)
Inequivalent atoms, fractional coordinates:
Mg (0.000, 0.000, 0.000) (multiplicity 2)
Cu (0.000, 0.250, 0.500) (multiplicity 6)
Ge (0.000, 0.500, 0.250) (multiplicity 6)

No. 10
Mg2Cu3Ge: theoretical powder diffractogram (λ = 1.5418 Å (Cu Kα)), based on a crystal structure in Alexandria, relaxed with GGA-PBE.

Main lines, sorted by position (10 to 90 degrees two-theta):
- (1 0 0), 2θ 20.10, I 54
- (1 0 1), 2θ 23.01, I 30
- (1 0 3), 2θ 39.52, I 36
- (1 1 2), 2θ 42.04, I 88
- (2 0 1), 2θ 42.47, I 100
- (0 0 4), 2θ 45.42, I 29
- (2 0 2), 2θ 47.02, I 50
- (2 0 3), 2θ 53.94, I 23
- (2 0 5), 2θ 73.11, I 22
- (2 2 0), 2θ 74.40, I 27

Unit cell a=5.1004 b=5.1004 c=7.9873 alpha=90.00 beta=90.00 gamma=120.00
Space group P6_3/mmc (No. 194)
Inequivalent atoms, fractional coordinates:
Mg (0.3333, 0.6667, 0.0620) (multiplicity 4)
Cu (0.1715, 0.3430, 0.7500) (multiplicity 6)
Ge (0.0000, 0.0000, 0.0000) (multiplicity 2)

No. 11
NdMg2CuGe2: theoretical powder diffractogram (λ = 1.5418 Å (Cu Kα)), based on a crystal structure in Alexandria, relaxed with GGA-PBE.

Main lines, sorted by position (10 to 90 degrees two-theta):
- (1 1 0), 2θ 24.02, I 100
- (1 1 2), 2θ 29.37, I 21
- (1 0 3), 2θ 30.40, I 34
- (0 0 4), 2θ 33.64, I 27
- (2 0 0), 2θ 34.23, I 71
- (1 1 4), 2θ 41.76, I 29
- (2 1 3), 2θ 46.43, I 21
- (2 0 4), 2θ 48.75, I 37
- (2 2 0), 2θ 49.20, I 25
- (3 1 0), 2θ 55.47, I 20

Unit cell a=5.238 b=5.238 c=10.658 alpha=90.00 beta=90.00 gamma=90.00
Space group I4/mmm (No. 139)
Inequivalent atoms, fractional coordinates:
Nd (0.000, 0.000, 0.000) (multiplicity 2)
Mg (0.000, 0.500, 0.250) (multiplicity 4)
Cu (0.000, 0.000, 0.500) (multiplicity 2)
Ge (0.000, 0.000, 0.288) (multiplicity 4)

No. 12
NdMg2Cu2Ge2: theoretical powder diffractogram (λ = 1.5418 Å (Cu Kα)), based on a crystal structure in Alexandria, relaxed with GGA-PBE.

Main lines, sorted by position (10 to 90 degrees two-theta):
- (0 0 3), 2θ 10.72, I 44
- (1 0 4), 2θ 28.00, I 42
- (0 1 5), 2θ 30.06, I 50
- (1 0 7), 2θ 35.01, I 87
- (0 1 8), 2θ 37.82, I 37
- (1 1 0), 2θ 42.10, I 100
- (0 0 12), 2θ 43.87, I 19
- (0 2 7), 2θ 55.88, I 22
- (1 1 12), 2θ 62.43, I 38
- (2 1 7), 2θ 72.37, I 19

Unit cell a=4.2923 b=4.2923 c=24.7664 alpha=90.00 beta=90.00 gamma=120.00
Space group R-3m (No. 166, hexagonal axes)
Inequivalent atoms, fractional coordinates:
Nd (0.0000, 0.0000, 0.0000) (multiplicity 3)
Mg (0.0000, 0.0000, 0.1349) (multiplicity 6)
Cu (0.0000, 0.0000, 0.4188) (multiplicity 6)
Ge (0.0000, 0.0000, 0.2545) (multiplicity 6)